No. 1
Simulated PXRD pattern of Na2Sr6Tl for Cu Kα, from the PBE geometry in Alexandria.

Crystal structure
```
data_Na2Sr6Tl
_chemical_formula_sum 'Na4 Sr12 Tl2'
_symmetry_space_group_name_H-M 'P n n m'
_symmetry_Int_Tables_number 58
_cell_length_a 11.6311
_cell_length_b 11.6402
_cell_length_c 6.0301
_cell_angle_alpha 90.00
_cell_angle_beta 90.00
_cell_angle_gamma 90.00
loop_
_symmetry_equiv_pos_as_xyz
'x,y,z'
'-x,-y,-z'
'-x,-y,z'
'x,y,-z'
'x+1/2,-y+1/2,-z+1/2'
'-x+1/2,y+1/2,z+1/2'
'-x+1/2,y+1/2,-z+1/2'
'x+1/2,-y+1/2,z+1/2'
loop_
_atom_site_label
_atom_site_type_symbol
_atom_site_fract_x
_atom_site_fract_y
_atom_site_fract_z
Na1 Na 0.2025 0.2035 0.0000
Sr1 Sr 0.0285 0.3077 0.5000
Sr2 Sr 0.1174 0.8834 0.0000
Sr3 Sr 0.1923 0.5294 0.0000
Tl1 Tl 0.0000 0.0000 0.5000
```

The 10 most intense peaks (5 to 70 degrees two-theta), in order of rising 2θ:
d 8.228, rel. 30.3, (1 1 0)
d 5.818, rel. 19.9, (0 2 0)
d 5.354, rel. 20.5, (1 0 1)
d 3.262, rel. 100.0, (3 0 1)
d 3.141, rel. 16.6, (1 3 1)
d 3.015, rel. 29.3, (0 0 2)
d 2.743, rel. 23.3, (3 3 0)
d 2.556, rel. 21.5, (4 1 1)
d 2.029, rel. 19.4, (3 3 2)
d 1.785, rel. 17.5, (3 0 3)

---

No. 2
Simulated PXRD pattern of Na4SrTl12 for Cu Kα, from the PBE geometry in Alexandria.

Crystal structure
```
data_Na4SrTl12
_chemical_formula_sum 'Na8 Sr2 Tl24'
_symmetry_space_group_name_H-M 'I m -3'
_symmetry_Int_Tables_number 204
_symmetry_space_group_name_Hall '-I 2 2 3'
_cell_length_a 10.4931
_cell_length_b 10.4931
_cell_length_c 10.4931
_cell_angle_alpha 90.00
_cell_angle_beta 90.00
_cell_angle_gamma 90.00
loop_
_atom_site_label
_atom_site_type_symbol
_atom_site_fract_x
_atom_site_fract_y
_atom_site_fract_z
Na1 Na 0.2500 0.2500 0.2500
Sr1 Sr 0.0000 0.0000 0.0000
Tl1 Tl 0.0000 0.3523 0.1496
```

The 10 most intense peaks (5 to 70 degrees two-theta), in order of rising 2θ:
d 7.420, rel. 7.0, (1 1 0)
d 3.318, rel. 100.0, (3 0 1)
d 2.804, rel. 29.6, (3 1 2)
d 2.346, rel. 11.1, (4 0 2)
d 2.237, rel. 7.8, (3 3 2)
d 2.058, rel. 43.6, (4 3 1)
d 1.800, rel. 8.5, (5 3 0)
d 1.749, rel. 17.4, (6 0 0)
d 1.547, rel. 14.9, (6 1 3)
d 1.378, rel. 12.6, (7 3 0)

---

No. 3
Simulated PXRD pattern of NaSr2Tl8 for Cu Kα, from the PBE geometry in Alexandria.

Crystal structure
```
data_NaSr2Tl8
_chemical_formula_sum 'Na1 Sr2 Tl8'
_symmetry_space_group_name_H-M 'P 4/m m m'
_symmetry_Int_Tables_number 123
_symmetry_space_group_name_Hall '-P 4 2'
_cell_length_a 5.1326
_cell_length_b 5.1326
_cell_length_c 13.0510
_cell_angle_alpha 90.00
_cell_angle_beta 90.00
_cell_angle_gamma 90.00
loop_
_atom_site_label
_atom_site_type_symbol
_atom_site_fract_x
_atom_site_fract_y
_atom_site_fract_z
Na1 Na 0.0000 0.0000 0.0000
Sr1 Sr 0.0000 0.0000 0.3190
Tl1 Tl 0.0000 0.5000 0.1360
Tl2 Tl 0.0000 0.5000 0.5000
Tl3 Tl 0.5000 0.5000 0.3136
```

The 10 most intense peaks (5 to 70 degrees two-theta), in order of rising 2θ:
d 3.629, rel. 13.0, (1 1 0)
d 3.172, rel. 22.6, (1 1 2)
d 2.787, rel. 100.0, (1 1 3)
d 2.610, rel. 11.7, (0 0 5)
d 2.566, rel. 48.3, (2 0 0)
d 1.830, rel. 16.7, (2 0 5)
d 1.815, rel. 17.5, (2 2 0)
d 1.659, rel. 11.9, (2 0 6)
d 1.521, rel. 32.7, (3 1 3)
d 1.489, rel. 23.6, (1 1 8)

---

No. 4
Simulated PXRD pattern of NaSrTl14 for Cu Kα, from the PBE geometry in Alexandria.

Crystal structure
```
data_NaSrTl14
_chemical_formula_sum 'Na2 Sr2 Tl28'
_symmetry_space_group_name_H-M 'A m m 2'
_symmetry_Int_Tables_number 38
_cell_length_a 10.9621
_cell_length_b 8.0839
_cell_length_c 11.1299
_cell_angle_alpha 90.00
_cell_angle_beta 90.00
_cell_angle_gamma 90.00
loop_
_symmetry_equiv_pos_as_xyz
'x,y,z'
'-x,-y,z'
'-x,y,z'
'x,-y,z'
'x,y+1/2,z+1/2'
'-x,-y+1/2,z+1/2'
'-x,y+1/2,z+1/2'
'x,-y+1/2,z+1/2'
loop_
_atom_site_label
_atom_site_type_symbol
_atom_site_fract_x
_atom_site_fract_y
_atom_site_fract_z
Na1 Na 0.0000 0.0000 0.0000
Sr1 Sr 0.0000 0.0000 0.5526
Tl1 Tl 0.0000 0.2081 0.2766
Tl2 Tl 0.2431 0.0000 0.8036
Tl3 Tl 0.2496 0.2215 0.0717
Tl4 Tl 0.2602 0.0000 0.3381
Tl5 Tl 0.5000 0.0000 0.0355
Tl6 Tl 0.5000 0.0000 0.5534
Tl7 Tl 0.5000 0.2466 0.2940
```

The 10 most intense peaks (5 to 70 degrees two-theta), in order of rising 2θ:
d 2.808, rel. 100.0, (2 2 2)
d 2.782, rel. 21.6, (0 0 4)
d 2.741, rel. 26.6, (4 0 0)
d 2.021, rel. 8.5, (0 4 0)
d 1.953, rel. 15.6, (4 0 4)
d 1.635, rel. 7.3, (0 4 4)
d 1.627, rel. 8.5, (4 4 0)
d 1.611, rel. 11.6, (2 2 6)
d 1.595, rel. 18.4, (6 2 2)
d 1.404, rel. 8.2, (4 4 4)

---

Copy entry 4 word for word.
Simulated PXRD pattern of NaSrTl14 for Cu Kα, from the PBE geometry in Alexandria.

Crystal structure
```
data_NaSrTl14
_chemical_formula_sum 'Na2 Sr2 Tl28'
_symmetry_space_group_name_H-M 'A m m 2'
_symmetry_Int_Tables_number 38
_cell_length_a 10.9621
_cell_length_b 8.0839
_cell_length_c 11.1299
_cell_angle_alpha 90.00
_cell_angle_beta 90.00
_cell_angle_gamma 90.00
loop_
_symmetry_equiv_pos_as_xyz
'x,y,z'
'-x,-y,z'
'-x,y,z'
'x,-y,z'
'x,y+1/2,z+1/2'
'-x,-y+1/2,z+1/2'
'-x,y+1/2,z+1/2'
'x,-y+1/2,z+1/2'
loop_
_atom_site_label
_atom_site_type_symbol
_atom_site_fract_x
_atom_site_fract_y
_atom_site_fract_z
Na1 Na 0.0000 0.0000 0.0000
Sr1 Sr 0.0000 0.0000 0.5526
Tl1 Tl 0.0000 0.2081 0.2766
Tl2 Tl 0.2431 0.0000 0.8036
Tl3 Tl 0.2496 0.2215 0.0717
Tl4 Tl 0.2602 0.0000 0.3381
Tl5 Tl 0.5000 0.0000 0.0355
Tl6 Tl 0.5000 0.0000 0.5534
Tl7 Tl 0.5000 0.2466 0.2940
```

The 10 most intense peaks (5 to 70 degrees two-theta), in order of rising 2θ:
d 2.808, rel. 100.0, (2 2 2)
d 2.782, rel. 21.6, (0 0 4)
d 2.741, rel. 26.6, (4 0 0)
d 2.021, rel. 8.5, (0 4 0)
d 1.953, rel. 15.6, (4 0 4)
d 1.635, rel. 7.3, (0 4 4)
d 1.627, rel. 8.5, (4 4 0)
d 1.611, rel. 11.6, (2 2 6)
d 1.595, rel. 18.4, (6 2 2)
d 1.404, rel. 8.2, (4 4 4)